(1)
Diffraction record for ErBe2GePd2. The powder diffractogram is theoretical, not measured: it uses the PBE geometry in Alexandria and copper Kα.
Kinematic intensities with the Lorentz-polarization factor, no thermal factor.

Structure:
```
6
Lattice="4.1557 0.0000 0.0000 0.0000 4.1557 0.0000 0.0000 0.0000 5.6152" Properties=species:S:1:pos:R:3 pbc="T T T"
Er 0.0000 0.0000 0.0000
Be 0.0000 2.0779 2.8076
Be 2.0779 0.0000 2.8076
Ge 0.0000 0.0000 2.8076
Pd 2.0779 2.0779 1.3872
Pd 2.0779 2.0779 4.2279
```

Top 6 peaks for 5 to 70 degrees two-theta, by angle:
2θ/deg, I (rel.)
26.69, 9
30.42, 91
38.70, 100
43.56, 38
59.66, 56
63.30, 12

(2)
Diffraction record for HoErBeIn. The powder diffractogram is theoretical, not measured: it uses the PBE geometry in Alexandria and copper Kα.
Kinematic intensities with the Lorentz-polarization factor, no thermal factor.

Structure:
```
16
Lattice="7.1812 0.0000 0.0000 0.0000 7.1812 0.0000 0.0000 0.0000 7.1812" Properties=species:S:1:pos:R:3 pbc="T T T"
Ho 0.0000 0.0000 0.0000
Ho 0.0000 3.5906 3.5906
Ho 3.5906 0.0000 3.5906
Ho 3.5906 3.5906 0.0000
Er 0.0000 0.0000 3.5906
Er 0.0000 3.5906 0.0000
Er 3.5906 0.0000 0.0000
Er 3.5906 3.5906 3.5906
Be 1.7953 1.7953 5.3859
Be 1.7953 5.3859 1.7953
Be 5.3859 1.7953 1.7953
Be 5.3859 5.3859 5.3859
In 1.7953 1.7953 1.7953
In 1.7953 5.3859 5.3859
In 5.3859 1.7953 5.3859
In 5.3859 5.3859 1.7953
```

Top 6 peaks for 5 to 70 degrees two-theta, by angle:
2θ/deg, I (rel.)
21.43, 14
24.80, 25
35.35, 100
50.86, 18
57.38, 11
63.46, 36

(3)
Diffraction record for HoErBeRh. The powder diffractogram is theoretical, not measured: it uses the PBE geometry in Alexandria and copper Kα.
Kinematic intensities with the Lorentz-polarization factor, no thermal factor.

Structure:
```
16
Lattice="6.8051 0.0000 0.0000 0.0000 6.8051 0.0000 0.0000 0.0000 6.8051" Properties=species:S:1:pos:R:3 pbc="T T T"
Ho 0.0000 0.0000 0.0000
Ho 0.0000 3.4026 3.4026
Ho 3.4026 0.0000 3.4026
Ho 3.4026 3.4026 0.0000
Er 0.0000 0.0000 3.4026
Er 0.0000 3.4026 0.0000
Er 3.4026 0.0000 0.0000
Er 3.4026 3.4026 3.4026
Be 1.7013 1.7013 5.1039
Be 1.7013 5.1039 1.7013
Be 5.1039 1.7013 1.7013
Be 5.1039 5.1039 5.1039
Rh 1.7013 1.7013 1.7013
Rh 1.7013 5.1039 5.1039
Rh 5.1039 1.7013 5.1039
Rh 5.1039 5.1039 1.7013
```

Top 6 peaks for 5 to 70 degrees two-theta, by angle:
2θ/deg, I (rel.)
22.63, 13
26.19, 30
37.38, 100
53.89, 17
60.88, 12
67.42, 35

(4)
Diffraction record for Er3BeI3. The powder diffractogram is theoretical, not measured: it uses the PBE geometry in Alexandria and copper Kα.
Kinematic intensities with the Lorentz-polarization factor, no thermal factor.

Structure:
```
28
Lattice="-5.9677 5.9677 5.9677 5.9677 -5.9677 5.9677 5.9677 5.9677 -5.9677" Properties=species:S:1:pos:R:3 pbc="T T T"
Er 1.7698 1.4919 -1.2141
Er 7.1818 1.7698 -1.4919
Er 1.4919 -1.2141 1.7698
Er 4.7537 4.1979 -1.4919
Er 4.1979 1.4919 1.2141
Er -1.2141 1.7698 1.4919
Er 4.1979 -1.4919 4.7537
Er 1.4919 1.2141 4.1979
Er 1.2141 4.1979 1.4919
Er 1.7698 -1.4919 7.1818
Er -1.4919 7.1818 1.7698
Er -1.4919 4.7537 4.1979
Be 4.4758 1.4919 -1.4919
Be 1.4919 1.4919 1.4919
Be 1.4919 -1.4919 4.4758
Be -1.4919 4.4758 1.4919
I 7.4597 1.3948 1.5891
I 7.4597 -1.3948 4.3786
I 4.3786 7.4597 -1.3948
I 4.5730 1.5891 4.4758
I 4.4758 4.5730 1.5891
I 1.5891 7.4597 1.3948
I 7.3625 4.3786 4.4758
I 1.5891 4.4758 4.5730
I 1.3948 1.5891 7.4597
I 4.4758 7.3625 4.3786
I -1.3948 4.3786 7.4597
I 4.3786 4.4758 7.3625
```

Top 6 peaks for 5 to 70 degrees two-theta, by angle:
2θ/deg, I (rel.)
27.97, 57
29.95, 100
35.27, 32
42.86, 65
53.17, 20
56.67, 25

(5)
Diffraction record for Er2Be2InPd5. The powder diffractogram is theoretical, not measured: it uses the PBE geometry in Alexandria and copper Kα.
Kinematic intensities with the Lorentz-polarization factor, no thermal factor.

Structure:
```
20
Lattice="9.6977 0.0000 0.0000 0.0000 9.6977 0.0000 0.0000 0.0000 3.4879" Properties=species:S:1:pos:R:3 pbc="T T T"
Er 1.7169 3.1319 0.0000
Er 3.1319 7.9808 0.0000
Er 6.5658 1.7169 0.0000
Er 7.9808 6.5658 0.0000
Be 1.1407 5.9895 0.0000
Be 3.7082 1.1407 0.0000
Be 5.9895 8.5571 0.0000
Be 8.5571 3.7082 0.0000
In 0.0000 0.0000 0.0000
In 4.8489 4.8489 0.0000
Pd 0.0000 4.8489 1.7439
Pd 0.6760 7.5657 1.7439
Pd 2.1321 0.6760 1.7439
Pd 2.7168 5.5248 1.7439
Pd 4.1729 2.7168 1.7439
Pd 4.8489 0.0000 1.7439
Pd 5.5248 6.9809 1.7439
Pd 6.9809 4.1729 1.7439
Pd 7.5657 9.0218 1.7439
Pd 9.0218 2.1321 1.7439
```

Top 6 peaks for 5 to 70 degrees two-theta, by angle:
2θ/deg, I (rel.)
32.95, 92
36.76, 41
38.27, 76
39.11, 100
41.65, 32
66.78, 29

(6)
Diffraction record for ErBe17Ir. The powder diffractogram is theoretical, not measured: it uses the PBE geometry in Alexandria and copper Kα.
Kinematic intensities with the Lorentz-polarization factor, no thermal factor.

Structure:
```
19
Lattice="3.7428 2.1609 3.6046 -3.7428 2.1609 3.6046 0.0000 -4.3218 3.6046" Properties=species:S:1:pos:R:3 pbc="T T T"
Er 0.0000 0.0000 0.0000
Be -1.1474 -1.8748 3.7216
Be -2.1973 -0.0563 3.7216
Be -1.7621 -1.0173 5.7141
Be 0.0000 0.0000 2.7064
Be 0.0000 -2.2377 5.4916
Be -1.9379 1.1188 5.4916
Be 1.1474 -1.8748 3.7216
Be -1.0499 1.9311 3.7216
Be 0.0000 0.0000 4.8126
Be -1.8000 -1.0392 8.9791
Be 2.1973 -0.0563 3.7216
Be 1.0499 1.9311 3.7216
Be 1.7621 -1.0173 5.7141
Be 0.0000 2.0347 5.7141
Be 1.9379 1.1188 5.4916
Be 1.8000 -1.0392 8.9791
Be 0.0000 2.0785 8.9791
Ir 0.0000 0.0000 7.2556
```

Top 6 peaks for 5 to 70 degrees two-theta, by angle:
2θ/deg, I (rel.)
15.94, 62
21.40, 31
23.77, 100
24.70, 31
34.55, 89
49.16, 42

(7)
Diffraction record for ErBeSiIr. The powder diffractogram is theoretical, not measured: it uses the PBE geometry in Alexandria and copper Kα.
Kinematic intensities with the Lorentz-polarization factor, no thermal factor.

Structure:
```
8
Lattice="3.9767 0.0000 0.0000 0.0000 4.0168 0.0000 0.0000 0.0000 8.6555" Properties=species:S:1:pos:R:3 pbc="T T T"
Er 0.0000 0.0000 0.0000
Er 1.9884 2.0084 4.3277
Be 0.0000 2.0084 2.0655
Be 1.9884 0.0000 6.3932
Si 0.0000 0.0000 3.0159
Si 1.9884 2.0084 7.3437
Ir 0.0000 0.0000 5.3417
Ir 1.9884 2.0084 1.0139
```

Top 6 peaks for 5 to 70 degrees two-theta, by angle:
2θ/deg, I (rel.)
20.52, 55
31.66, 100
38.03, 50
38.41, 47
38.55, 48
60.83, 25

(8)
Diffraction record for LiEr4Be4Si2O14. The powder diffractogram is theoretical, not measured: it uses the PBE geometry in Alexandria and copper Kα.
Kinematic intensities with the Lorentz-polarization factor, no thermal factor.

Structure:
```
25
Lattice="7.4002 0.0000 0.0000 0.0000 7.4002 0.0000 0.0000 0.0000 4.7672" Properties=species:S:1:pos:R:3 pbc="T T T"
Li 0.0000 0.0000 0.0000
Er 1.2333 2.6449 0.0519
Er 2.6449 6.1669 4.7153
Er 4.7553 1.2333 4.7153
Er 6.1669 4.7553 0.0519
Be 1.0065 4.7055 2.5676
Be 2.6947 1.0065 2.1996
Be 4.7055 6.3937 2.1996
Be 6.3937 2.6947 2.5676
Si 0.0000 0.0000 2.3836
Si 3.7001 3.7001 2.3836
O 0.0000 3.7001 3.2500
O 0.6119 6.2338 3.3820
O 1.0353 4.7655 0.9817
O 1.1664 0.6119 1.3852
O 2.4921 4.2828 3.3456
O 2.6347 1.0353 3.7855
O 3.1174 2.4921 1.4216
O 3.7001 0.0000 1.5173
O 4.2828 4.9080 1.4216
O 4.7655 6.3649 3.7855
O 4.9080 3.1174 3.3456
O 6.2338 6.7883 1.3852
O 6.3649 2.6347 0.9817
O 6.7883 1.1664 3.3820
```

Top 6 peaks for 5 to 70 degrees two-theta, by angle:
2θ/deg, I (rel.)
18.61, 55
25.27, 26
26.94, 54
32.95, 100
43.06, 23
46.98, 41

> Number 3 is which compound?

HoErBeRh